Record 1
SrPr3CrNiO8: simulated PXRD pattern (Cu Kα, 1.54184 Å), based on DFT lattice parameters and positions (GGA+U).
No peak broadening, texture or thermal motion is included.

Structure:
a = 5.504 Å, b = 6.804 Å, c = 6.804 Å
α = 47.75°, β = 90.00°, γ = 90.00°
Fractional coordinates of all 14 atoms:
Sr 0.000 0.000 0.000
Pr 0.000 0.278 0.278
Pr 0.500 0.506 0.506
Pr 0.500 0.781 0.781
Cr 0.000 0.642 0.642
Ni 0.500 0.140 0.140
O 0.000 0.470 0.470
O 0.000 0.806 0.806
O 0.252 0.401 0.892
O 0.252 0.892 0.401
O 0.500 0.321 0.321
O 0.500 0.967 0.967
O 0.748 0.401 0.892
O 0.748 0.892 0.401

Principal peaks in the range 2θ from 10° to 90°, sorted by position:
- 3.716 Å, I = 27
- 3.111 Å, I = 14
- 2.839 Å, I = 100
- 2.753 Å, I = 76
- 2.097 Å, I = 21
- 2.062 Å, I = 34
- 1.947 Å, I = 39
- 1.656 Å, I = 11
- 1.605 Å, I = 37
- 1.427 Å, I = 11
- 1.376 Å, I = 12
- 1.231 Å, I = 12

=====

Record 2
Sr2Pr2CrNiO8: simulated PXRD pattern (Cu Kα, 1.54184 Å), based on DFT lattice parameters and positions (GGA+U).
No peak broadening, texture or thermal motion is included.

Structure:
a = 5.469 Å, b = 6.868 Å, c = 6.868 Å
α = 46.63°, β = 90.00°, γ = 90.00°
Fractional coordinates of all 14 atoms:
Sr 0.000 0.000 0.000
Sr 0.500 0.209 0.209
Pr 0.000 0.716 0.716
Pr 0.500 0.493 0.493
Cr 0.000 0.353 0.353
Ni 0.500 0.856 0.856
O 0.000 0.195 0.195
O 0.000 0.527 0.527
O 0.241 0.110 0.598
O 0.241 0.598 0.110
O 0.500 0.020 0.020
O 0.500 0.676 0.676
O 0.759 0.110 0.598
O 0.759 0.598 0.110

Principal peaks in the range 2θ from 10° to 90°, sorted by position:
- 3.687 Å, I = 17
- 2.842 Å, I = 100
- 2.734 Å, I = 36
- 2.718 Å, I = 35
- 2.111 Å, I = 17
- 2.102 Å, I = 12
- 2.066 Å, I = 15
- 2.059 Å, I = 15
- 1.928 Å, I = 37
- 1.599 Å, I = 18
- 1.592 Å, I = 19
- 1.421 Å, I = 17